Diffraction record for SmGd2. The powder diffraction line list is calculated, not measured: it uses DFT lattice parameters and positions (GGA-PBE) and Cu Kα (weighted mean of Kα1 and Kα2).
Neutral-atom scattering factors, no anomalous dispersion.

Structure:
```
SmGd2
1.0
4.175 0.000 0.000
0.000 4.175 0.000
0.000 0.000 11.411
Sm Gd
2 4
Direct
0.000 0.000 0.000
0.500 0.500 0.500
0.000 0.000 0.331
0.000 0.000 0.669
0.500 0.500 0.169
0.500 0.500 0.831
```

Peak list (10 most intense, 10 to 90 degrees two-theta, by intensity)
d/Å, 2θ/deg, I/Imax
2.812, 31.8, 100.0
2.952, 30.3, 57.1
1.676, 54.8, 43.2
2.088, 43.3, 21.5
1.599, 57.7, 18.4
1.406, 66.5, 12.0
1.108, 88.2, 11.6
1.320, 71.5, 9.8
1.307, 72.3, 9.4
1.902, 47.8, 8.0